The following is a simulated powder XRD pattern of CsKRuI6. It was derived from the GGA-PBE geometry in Alexandria, using Cu Kα, 1.54184 Å.
Kinematic intensities with the Lorentz-polarization factor, no thermal factor.

Main lines, low angle first (10° ≤ 2θ ≤ 90°):
| Position (°2θ) | d [Å] | I/Imax |
| --- | --- | --- |
| 11.90 | 7.435 | 62 |
| 17.10 | 5.184 | 51 |
| 24.11 | 3.691 | 100 |
| 32.37 | 2.766 | 56 |
| 34.23 | 2.619 | 77 |
| 36.24 | 2.478 | 22 |
| 40.66 | 2.219 | 18 |
| 43.03 | 2.102 | 17 |
| 49.84 | 1.830 | 26 |
| 55.34 | 1.660 | 21 |

Structure:
a b c (Å): 8.5856 8.5856 7.2320
angles (deg): 90.00 90.00 120.00
Atoms (fractional coordinates):
1 Cs 0.0000 0.0000 0.0000
2 K 0.3333 0.6667 0.5000
3 Ru 0.6667 0.3333 0.5000
4 I 0.4153 0.0707 0.7200
5 I 0.4153 0.3446 0.2799
6 I 0.6554 0.0707 0.2799
7 I 0.6554 0.5847 0.7200
8 I 0.9293 0.3446 0.7200
9 I 0.9293 0.5847 0.2799